Record 1
For Ho3ScTc8, a PBE-relaxed structure gives the computed X-ray diffraction stick pattern in this record (Cu Ka).

Structure:
```
12
Lattice="2.679 1.547 8.756 -2.679 1.547 8.756 0.000 -3.094 8.756" Properties=species:S:1:pos:R:3 pbc="T T T"
Ho 0.000 0.000 0.000
Ho 0.000 0.000 3.306
Ho 0.000 0.000 16.405
Sc 0.000 0.000 13.145
Tc 0.000 -1.542 5.996
Tc -1.335 0.771 5.996
Tc -1.333 -0.770 10.434
Tc 0.000 0.000 8.213
Tc 1.335 0.771 5.996
Tc 1.333 -0.770 10.434
Tc 0.000 1.539 10.434
Tc 0.000 0.000 21.354
```

Most intense lines, 2θ from 10° to 90°, low angle first:
- 2θ 10.1, rel. 3.3
- 2θ 19.4, rel. 3.2
- 2θ 20.3, rel. 2.3
- 2θ 33.4, rel. 36.3
- 2θ 39.4, rel. 100.0
- 2θ 41.3, rel. 31.5
- 2θ 59.8, rel. 13.6
- 2θ 63.8, rel. 31.6
- 2θ 70.2, rel. 25.7
- 2θ 80.1, rel. 5.9
- 2θ 83.7, rel. 11.1
- 2θ 84.9, rel. 11.2


Record 2
For Sn, a PBE-relaxed structure gives the computed X-ray diffraction stick pattern in this record (Cu Ka).

Structure:
```
1
Lattice="-2.031 2.031 1.676 2.031 -2.031 1.676 2.031 2.031 -1.676" Properties=species:S:1:pos:R:3 pbc="T T T"
Sn 0.000 0.000 0.000
```

Most intense lines, 2θ from 10° to 90°, low angle first:
- 2θ 31.1, rel. 66.2
- 2θ 34.7, rel. 100.0
- 2θ 44.6, rel. 25.2
- 2θ 54.8, rel. 7.0
- 2θ 57.7, rel. 47.9
- 2θ 64.4, rel. 17.5
- 2θ 64.9, rel. 8.5
- 2θ 73.2, rel. 12.3
- 2θ 73.8, rel. 12.1
- 2θ 75.8, rel. 11.3
- 2θ 90.0, rel. 7.9


Question: Which formula does entry 2 have?
Answer: Sn